Calculated powder diffractogram of RbU2Br11 for Cu Kα, from a crystal structure in Alexandria, relaxed with GGA-PBE.

Top 8 peaks for 2θ = 5–70°, by angle:
2θ/deg, intensity
11.9, 54
15.2, 39
16.1, 100
17.9, 23
30.7, 51
31.0, 30
44.1, 16
47.9, 19

Atomic structure:
abc: 11.9774 11.9774 11.9774
angles: 112.91 112.58 103.10
Fractional positions:
1 Rb 0.2500 0.2500 0.0000
2 Rb 0.7500 0.7500 0.0000
3 U 0.1589 0.6488 0.8076
4 U 0.3411 0.1488 0.4899
5 U 0.6589 0.8512 0.5101
6 U 0.8411 0.3512 0.1924
7 Br 0.0000 0.5000 0.5000
8 Br 0.0679 0.3768 0.1885
9 Br 0.1183 0.9148 0.2870
10 Br 0.1278 0.4148 0.7965
11 Br 0.1884 0.8795 0.8115
12 Br 0.1969 0.2835 0.4804
13 Br 0.3031 0.7835 0.0867
14 Br 0.3116 0.1232 0.6911
15 Br 0.3722 0.1686 0.2870
16 Br 0.3817 0.6686 0.7965
17 Br 0.4321 0.6205 0.3089
18 Br 0.5000 0.0000 0.5000
19 Br 0.5679 0.3795 0.6911
20 Br 0.6183 0.3314 0.2035
21 Br 0.6278 0.8314 0.7130
22 Br 0.6884 0.8768 0.3089
23 Br 0.6969 0.2165 0.9133
24 Br 0.8031 0.7165 0.5196
25 Br 0.8116 0.1205 0.1885
26 Br 0.8722 0.5852 0.2035
27 Br 0.8817 0.0852 0.7130
28 Br 0.9321 0.6232 0.8115